Diffraction record for TiP2O7. The X-ray powder pattern is theoretical, not measured: it uses a PBE-relaxed structure and Cu Ka.
Kinematic intensities with the Lorentz-polarization factor, no thermal factor.

Cell lengths 7.419, 8.007, 9.569 Å; angles 90.00, 111.13, 90.00 degrees
Space group P2_1/c (No. 14)
Symmetry-distinct sites (fractional):
1 Ti 0.233 0.013 0.251
2 P 0.177 0.708 0.453
3 P 0.434 0.245 0.551
4 O 0.027 0.590 0.348
5 O 0.149 0.613 0.894
6 O 0.188 0.690 0.615
7 O 0.311 0.202 0.388
8 O 0.323 0.137 0.116
9 O 0.383 0.648 0.448
10 O 0.491 0.588 0.854

Largest 10 diffraction maxima, low angle first, 10 to 80 degrees two-theta:
d_spacing	two_theta	intensity	hkl
5.174	17.1	100	1 1 -1
4.576	19.4	16	1 0 -2
4.059	21.9	33	1 1 1
3.898	22.8	29	0 1 2
3.462	25.7	15	2 0 0
3.176	28.1	36	2 1 0
3.121	28.6	25	2 1 -2
2.980	30.0	55	0 2 2
2.956	30.2	16	1 1 -3
2.289	39.4	9	2 0 -4